Structure and theoretical powder XRD pattern of Cu3Ag2 (a structure optimized by DFT (PBE); copper Kα).
Intensities are scaled so that the largest is 100.

Crystal structure
```
Cu3Ag2
1.0
2.750 0.000 0.000
0.000 3.664 0.000
0.000 0.000 14.116
Cu Ag
6 4
direct
0.250 0.250 0.044
0.250 0.250 0.219
0.250 0.250 0.868
0.750 0.750 0.132
0.750 0.750 0.781
0.750 0.750 0.956
0.250 0.250 0.441
0.250 0.250 0.678
0.750 0.750 0.322
0.750 0.750 0.559
```

Peak list (12 most intense, 10° ≤ 2θ ≤ 90°, low angle first)
d 2.542, I = 31.5
d 2.236, I = 66.5
d 2.200, I = 100.0
d 2.169, I = 20.4
d 1.980, I = 9.7
d 1.970, I = 44.6
d 1.832, I = 27.7
d 1.376, I = 17.9
d 1.342, I = 23.3
d 1.171, I = 14.8
d 1.116, I = 10.2
d 1.100, I = 9.8


Structure and theoretical powder XRD pattern of Cu3Ag7 (a structure optimized by DFT (PBE); copper Kα).
Intensities are scaled so that the largest is 100.

Crystal structure
```
Cu3Ag7
1.0
2.870 0.000 0.000
0.000 3.972 0.000
0.000 0.000 14.289
Cu Ag
3 7
direct
0.000 0.000 0.000
0.500 0.500 0.299
0.500 0.500 0.701
0.000 0.000 0.201
0.000 0.000 0.395
0.000 0.000 0.605
0.000 0.000 0.799
0.500 0.500 0.097
0.500 0.500 0.500
0.500 0.500 0.903
```

Peak list (12 most intense, 10° ≤ 2θ ≤ 90°, low angle first)
d 2.326, I = 100.0
d 2.320, I = 98.3
d 2.025, I = 64.5
d 1.986, I = 30.5
d 1.435, I = 10.0
d 1.429, I = 9.5
d 1.418, I = 38.2
d 1.220, I = 22.8
d 1.218, I = 22.1
d 1.202, I = 21.8
d 1.163, I = 9.9
d 1.160, I = 9.5


Structure and theoretical powder XRD pattern of Cu4Ag5 (a structure optimized by DFT (PBE); copper Kα).
Intensities are scaled so that the largest is 100.

Crystal structure
```
Cu4Ag5
1.0
7.133 -1.414 0.000
7.133 1.414 0.000
-4.668 0.000 6.823
Cu Ag
4 5
direct
0.000 0.000 0.000
0.003 0.003 0.319
0.346 0.346 0.999
0.673 0.673 0.661
0.010 0.010 0.659
0.339 0.339 0.675
0.343 0.343 0.323
0.663 0.663 0.324
0.673 0.673 0.991
```

Peak list (12 most intense, 10° ≤ 2θ ≤ 90°, low angle first)
d 2.294, I = 100.0
d 2.274, I = 48.3
d 2.236, I = 43.0
d 1.973, I = 59.5
d 1.962, I = 28.9
d 1.414, I = 9.6
d 1.400, I = 18.1
d 1.383, I = 18.2
d 1.201, I = 11.2
d 1.195, I = 10.3
d 1.187, I = 19.8
d 1.147, I = 9.3


Structure and theoretical powder XRD pattern of Cu3Ag7 (a structure optimized by DFT (PBE); copper Kα).
Intensities are scaled so that the largest is 100.

Crystal structure
```
Cu3Ag7
1.0
7.288 -1.984 0.000
7.288 1.984 0.000
-1.231 0.000 5.635
Cu Ag
3 7
direct
0.000 0.000 0.000
0.200 0.200 0.094
0.800 0.800 0.906
0.000 0.000 0.500
0.204 0.204 0.612
0.396 0.396 0.187
0.401 0.401 0.711
0.599 0.599 0.289
0.604 0.604 0.813
0.796 0.796 0.388
```

Peak list (12 most intense, 10° ≤ 2θ ≤ 90°, low angle first)
d 2.333, I = 100.0
d 2.314, I = 98.2
d 2.043, I = 33.5
d 2.010, I = 30.8
d 1.984, I = 30.6
d 1.424, I = 29.1
d 1.412, I = 18.3
d 1.231, I = 11.7
d 1.222, I = 11.6
d 1.217, I = 10.4
d 1.202, I = 10.9
d 1.200, I = 10.9


Structure and theoretical powder XRD pattern of CuAg39 (a structure optimized by DFT (PBE); copper Kα).
Intensities are scaled so that the largest is 100.

Crystal structure
```
CuAg39
1.0
7.761 0.000 0.000
0.010 9.282 0.000
2.222 0.012 9.913
Cu Ag
1 39
direct
0.000 0.000 0.000
0.000 0.000 0.500
0.049 0.295 0.074
0.050 0.300 0.576
0.100 0.601 0.650
0.101 0.598 0.150
0.148 0.901 0.222
0.148 0.902 0.729
0.197 0.197 0.803
0.200 0.200 0.301
0.249 0.500 0.876
0.251 0.500 0.375
0.297 0.803 0.951
0.299 0.801 0.450
0.346 0.098 0.025
0.350 0.100 0.526
0.400 0.399 0.601
0.401 0.398 0.100
0.449 0.701 0.675
0.450 0.701 0.175
0.498 0.000 0.250
0.502 0.000 0.750
0.550 0.299 0.825
0.551 0.299 0.325
0.599 0.602 0.900
0.600 0.601 0.399
0.650 0.900 0.474
0.654 0.902 0.975
0.701 0.199 0.550
0.703 0.197 0.049
0.749 0.500 0.625
0.751 0.500 0.124
0.800 0.800 0.699
0.803 0.803 0.197
0.852 0.098 0.271
0.852 0.099 0.778
0.899 0.402 0.850
0.900 0.399 0.350
0.950 0.700 0.424
0.951 0.705 0.926
```

Peak list (8 most intense, 10° ≤ 2θ ≤ 90°, low angle first)
d 2.395, I = 100.0
d 2.074, I = 48.3
d 1.468, I = 5.0
d 1.467, I = 24.8
d 1.252, I = 5.8
d 1.251, I = 28.8
d 1.198, I = 7.5
d 1.197, I = 2.5


Structure and theoretical powder XRD pattern of Cu3Ag7 (a structure optimized by DFT (PBE); copper Kα).
Intensities are scaled so that the largest is 100.

Crystal structure
```
Cu3Ag7
1.0
4.912 0.000 0.000
-1.638 5.449 0.000
-0.813 -1.704 6.023
Cu Ag
3 7
direct
0.000 0.000 0.000
0.188 0.385 0.397
0.382 0.287 0.792
0.192 0.900 0.395
0.383 0.789 0.792
0.586 0.189 0.189
0.590 0.688 0.191
0.779 0.585 0.599
0.802 0.097 0.605
0.994 0.485 0.001
```

Peak list (12 most intense, 10° ≤ 2θ ≤ 90°, low angle first)
d 2.321, I = 34.0
d 2.313, I = 100.0
d 2.013, I = 21.8
d 2.005, I = 21.3
d 1.997, I = 21.1
d 1.422, I = 6.5
d 1.418, I = 25.8
d 1.413, I = 6.3
d 1.214, I = 3.9
d 1.212, I = 15.0
d 1.207, I = 7.4
d 1.205, I = 7.4


Structure and theoretical powder XRD pattern of Cu6Ag (a structure optimized by DFT (PBE); copper Kα).
Intensities are scaled so that the largest is 100.

Crystal structure
```
Cu6Ag
1.0
-1.325 1.806 9.309
1.325 -1.806 9.309
1.325 1.806 -9.309
Cu Ag
6 1
direct
0.081 0.081 0.000
0.216 0.216 0.000
0.352 0.352 0.000
0.648 0.648 0.000
0.784 0.784 0.000
0.919 0.919 0.000
0.500 0.500 0.000
```

Peak list (12 most intense, 10° ≤ 2θ ≤ 90°, low angle first)
d 3.122, I = 3.7
d 2.593, I = 5.8
d 2.142, I = 95.0
d 2.137, I = 100.0
d 1.877, I = 62.0
d 1.806, I = 28.8
d 1.330, I = 7.9
d 1.325, I = 9.5
d 1.301, I = 33.7
d 1.129, I = 17.7
d 1.127, I = 21.0
d 1.096, I = 20.0


Structure and theoretical powder XRD pattern of Cu3Ag2 (a structure optimized by DFT (PBE); copper Kα).
Intensities are scaled so that the largest is 100.

Crystal structure
```
Cu3Ag2
1.0
2.761 0.000 0.000
0.000 3.700 0.000
0.000 0.000 13.978
Cu Ag
6 4
direct
0.250 0.250 0.044
0.250 0.250 0.456
0.250 0.250 0.632
0.750 0.750 0.368
0.750 0.750 0.544
0.750 0.750 0.956
0.250 0.250 0.266
0.250 0.250 0.854
0.750 0.750 0.146
0.750 0.750 0.734
```

Peak list (12 most intense, 10° ≤ 2θ ≤ 90°, low angle first)
d 2.897, I = 9.3
d 2.231, I = 89.8
d 2.213, I = 100.0
d 1.964, I = 60.0
d 1.850, I = 28.1
d 1.380, I = 10.0
d 1.347, I = 32.2
d 1.182, I = 13.6
d 1.174, I = 20.3
d 1.128, I = 9.1
d 1.126, I = 10.3
d 1.106, I = 9.8


Structure and theoretical powder XRD pattern of Cu4Ag5 (a structure optimized by DFT (PBE); copper Kα).
Intensities are scaled so that the largest is 100.

Crystal structure
```
Cu4Ag5
1.0
2.815 0.000 0.000
-1.408 2.438 0.000
0.000 0.000 20.100
Cu Ag
4 5
direct
0.000 0.000 0.000
0.000 0.000 0.343
0.333 0.667 0.535
0.667 0.333 0.439
0.000 0.000 0.645
0.333 0.667 0.233
0.333 0.667 0.891
0.667 0.333 0.109
0.667 0.333 0.768
```

Peak list (12 most intense, 10° ≤ 2θ ≤ 90°, low angle first)
d 2.512, I = 8.1
d 2.291, I = 100.0
d 2.233, I = 21.5
d 2.085, I = 7.0
d 1.971, I = 54.3
d 1.462, I = 6.6
d 1.408, I = 20.1
d 1.381, I = 10.9
d 1.237, I = 5.8
d 1.199, I = 11.3
d 1.191, I = 15.4
d 1.145, I = 8.6


Structure and theoretical powder XRD pattern of Cu3Ag7 (a structure optimized by DFT (PBE); copper Kα).
Intensities are scaled so that the largest is 100.

Crystal structure
```
Cu3Ag7
1.0
9.787 -1.442 0.000
9.787 1.442 0.000
-0.850 0.000 5.702
Cu Ag
3 7
direct
0.000 0.000 0.000
0.002 0.002 0.504
0.196 0.196 0.100
0.196 0.196 0.600
0.407 0.407 0.705
0.409 0.409 0.207
0.594 0.594 0.292
0.594 0.594 0.805
0.798 0.798 0.394
0.798 0.798 0.907
```

Peak list (12 most intense, 10° ≤ 2θ ≤ 90°, low angle first)
d 3.227, I = 1.7
d 2.852, I = 2.6
d 2.633, I = 2.2
d 2.313, I = 100.0
d 2.039, I = 34.6
d 1.936, I = 13.3
d 1.442, I = 10.6
d 1.404, I = 17.4
d 1.323, I = 1.7
d 1.223, I = 23.5
d 1.178, I = 8.5
d 1.156, I = 9.2


Structure and theoretical powder XRD pattern of Cu3Ag7 (a structure optimized by DFT (PBE); copper Kα).
Intensities are scaled so that the largest is 100.

Crystal structure
```
Cu3Ag7
1.0
4.509 -2.004 0.000
4.509 2.004 0.000
-0.069 0.000 9.009
Cu Ag
3 7
direct
0.000 0.000 0.000
0.408 0.408 0.192
0.503 0.503 0.485
0.098 0.098 0.287
0.203 0.203 0.587
0.307 0.307 0.904
0.602 0.602 0.795
0.703 0.703 0.095
0.807 0.807 0.389
0.906 0.906 0.692
```

Peak list (12 most intense, 10° ≤ 2θ ≤ 90°, low angle first)
d 2.327, I = 100.0
d 2.319, I = 97.0
d 2.021, I = 32.0
d 2.010, I = 31.2
d 2.004, I = 31.1
d 1.423, I = 19.3
d 1.419, I = 18.9
d 1.219, I = 11.0
d 1.215, I = 10.6
d 1.214, I = 11.0
d 1.210, I = 32.7
d 1.163, I = 9.7


Structure and theoretical powder XRD pattern of Cu3Ag7 (a structure optimized by DFT (PBE); copper Kα).
Intensities are scaled so that the largest is 100.

Crystal structure
```
Cu3Ag7
1.0
2.859 0.000 0.000
0.000 3.952 0.000
0.000 0.000 14.248
Cu Ag
3 7
direct
0.000 0.000 0.000
0.000 0.000 0.385
0.500 0.500 0.296
0.000 0.000 0.203
0.000 0.000 0.584
0.000 0.000 0.798
0.500 0.500 0.098
0.500 0.500 0.478
0.500 0.500 0.691
0.500 0.500 0.904
```

Peak list (12 most intense, 10° ≤ 2θ ≤ 90°, low angle first)
d 2.646, I = 3.1
d 2.314, I = 100.0
d 2.018, I = 31.5
d 1.976, I = 15.8
d 1.430, I = 5.2
d 1.425, I = 3.8
d 1.412, I = 19.4
d 1.216, I = 11.1
d 1.214, I = 8.9
d 1.196, I = 11.0
d 1.158, I = 5.2
d 1.156, I = 3.8